# 1
The following is a computed X-ray powder pattern of V2CuP3O12. It was derived from a cell relaxed with PBE+U, using a wavelength of 1.5418 Å.

Peak list (10 most intense, 2θ = 5–70°, by angle)
20.7°, I = 89, hkl 1 1 0
24.3°, I = 100, hkl 1 1 3
25.4°, I = 22, hkl 2 0 2
32.1°, I = 17, hkl 2 1 1
33.0°, I = 82, hkl 1 1 6
36.2°, I = 38, hkl 3 0 0
47.4°, I = 34, hkl 1 2 8
49.8°, I = 27, hkl 2 2 6
56.7°, I = 41, hkl 4 1 0
63.1°, I = 24, hkl 0 1 14

```
data_V2CuP3O12
_cell_length_a 8.5898
_cell_length_b 8.5898
_cell_length_c 21.0108
_cell_angle_alpha 90.00
_cell_angle_beta 90.00
_cell_angle_gamma 120.00
_space_group_name_H-M_alt 'R -3 c'
_space_group_IT_number 167
_space_group_name_Hall '-R 3 2"c'
loop_
_atom_site_label
_atom_site_type_symbol
_atom_site_fract_x
_atom_site_fract_y
_atom_site_fract_z
V1 V 0.0000 0.0000 0.1420
Cu1 Cu 0.0000 0.0000 0.0000
P1 P 0.0000 0.2905 0.2500
O1 O 0.0035 0.1932 0.1892
O2 O 0.0220 0.1857 0.9198
```

***

# 2
The following is a computed X-ray powder pattern of V3CuP4O16. It was derived from a cell relaxed with PBE+U, using a wavelength of 1.5418 Å.

Peak list (10 most intense, 2θ = 5–70°, by angle)
17.8°, I = 85, hkl 0 0 2
19.8°, I = 100, hkl 1 0 -1
20.4°, I = 44, hkl 1 0 1
23.3°, I = 27, hkl 0 1 2
24.9°, I = 66, hkl 1 1 -1
25.4°, I = 49, hkl 1 1 1
30.2°, I = 97, hkl 0 2 0
35.4°, I = 47, hkl 1 1 -3
36.4°, I = 93, hkl 1 1 3
62.8°, I = 26, hkl 0 4 0

```
data_V3CuP4O16
_cell_length_a 4.930
_cell_length_b 5.923
_cell_length_c 9.998
_cell_angle_alpha 90.00
_cell_angle_beta 91.86
_cell_angle_gamma 90.00
_space_group_name_H-M_alt 'P 1 m 1'
_space_group_IT_number 6
loop_
_space_group_symop_operation_xyz
'x,y,z'
'x,-y,z'
loop_
_atom_site_label
_atom_site_type_symbol
_atom_site_fract_x
_atom_site_fract_y
_atom_site_fract_z
V1 V 0.000 0.000 0.000
V2 V 0.080 0.500 0.555
V3 V 0.582 0.000 0.515
Cu1 Cu 0.436 0.500 0.080
P1 P 0.159 0.000 0.690
P2 P 0.450 0.000 0.182
P3 P 0.636 0.500 0.381
P4 P 0.981 0.500 0.880
O1 O 0.228 0.000 0.841
O2 O 0.281 0.195 0.111
O3 O 0.289 0.500 0.904
O4 O 0.303 0.203 0.617
O5 O 0.336 0.500 0.411
O6 O 0.417 0.000 0.333
O7 O 0.682 0.500 0.231
O8 O 0.750 0.000 0.149
O9 O 0.791 0.298 0.455
O10 O 0.849 0.286 0.947
O11 O 0.853 0.000 0.664
O12 O 0.910 0.500 0.730
```